1.
CaPm2Pr4Nd2: simulated powder diffraction line list (Cu Kα (λ = 1.5418 Å)), based on a crystal structure in Alexandria, relaxed with PBE.

Main lines, by intensity (2θ from 15° to 90°):
2θ = 29.50°, rel. 100, hkl 3 1 1; 2θ = 34.14°, rel. 34, hkl 0 2 0; 2θ = 58.25°, rel. 22, hkl 3 3 1; 2θ = 49.06°, rel. 18, hkl 6 2 -1; 2θ = 34.31°, rel. 17, hkl 0 0 3; 2θ = 58.42°, rel. 14, hkl 9 1 0

Lattice parameters (Å, degrees): 15.7468 5.2570 8.2790 90.00 108.73 90.00
Space group C2/m (No. 12)
Unique sites:
Ca  0.0000  0.0000  0.0000
Pm  0.1126  0.0000  0.6633
Pr  0.0562  0.5000  0.3424
Pr  0.2248  0.0000  0.3362
Nd  0.1712  0.5000  0.9977

---

2.
CaPr4Nd4: simulated powder diffraction line list (Cu Kα (λ = 1.5418 Å)), based on a crystal structure in Alexandria, relaxed with PBE.

Main lines, by intensity (2θ from 15° to 90°):
2θ = 29.45°, rel. 100, hkl 3 0 1; 2θ = 34.20°, rel. 33, hkl 3 3 0; 2θ = 58.34°, rel. 28, hkl 6 3 1; 2θ = 49.01°, rel. 24, hkl 3 3 2; 2θ = 34.02°, rel. 17, hkl 0 0 2; 2θ = 58.10°, rel. 15, hkl 3 0 3

Lattice parameters (Å, degrees): 11.1231 11.1231 5.2709 90.00 90.00 90.00
Space group I4/mmm (No. 139)
Unique sites:
Ca  0.0000  0.0000  0.0000
Pr  0.1715  0.1715  0.5000
Nd  0.0000  0.3368  0.0000

---

3.
CaPr3Nd3: simulated powder diffraction line list (Cu Kα (λ = 1.5418 Å)), based on a crystal structure in Alexandria, relaxed with PBE.

Main lines, by intensity (2θ from 15° to 90°):
2θ = 30.95°, rel. 100, hkl 2 1 1; 2θ = 30.69°, rel. 91, hkl 2 -1 6; 2θ = 31.69°, rel. 64, hkl 1 2 2; 2θ = 29.41°, rel. 28, hkl 1 0 7; 2θ = 19.96°, rel. 27, hkl 1 1 0; 2θ = 27.83°, rel. 26, hkl 0 2 4

Lattice parameters (Å, degrees): 8.8964 8.8964 23.1331 90.00 90.00 120.00
Space group R-3 (No. 148, hexagonal axes)
Unique sites:
Ca  0.0000  0.0000  0.1557
Pr  0.0520  0.4495  0.3782
Nd  0.0046  0.2329  0.5595

---

4.
CaPr6Nd3: simulated powder diffraction line list (Cu Kα (λ = 1.5418 Å)), based on a crystal structure in Alexandria, relaxed with PBE.

Main lines, by intensity (2θ from 15° to 90°):
2θ = 31.29°, rel. 100, hkl 3 0 1; 2θ = 27.39°, rel. 75, hkl 1 3 1; 2θ = 29.83°, rel. 68, hkl 0 0 2; 2θ = 27.93°, rel. 58, hkl 2 3 0; 2θ = 53.93°, rel. 54, hkl 3 0 3; 2θ = 33.26°, rel. 51, hkl 1 4 1

Lattice parameters (Å, degrees): 9.7585 12.6823 5.9901 90.00 90.00 90.00
Space group Pnnm (No. 58)
Unique sites:
Ca  0.0000  0.0000  0.0000
Pr  0.0328  0.2538  0.0000
Pr  0.1483  0.6021  0.5000
Pr  0.1498  0.8899  0.5000
Nd  0.0000  0.5000  0.0000
Nd  0.1923  0.2415  0.5000

---

5.
CaPr4Nd: simulated powder diffraction line list (Cu Kα (λ = 1.5418 Å)), based on a crystal structure in Alexandria, relaxed with PBE.

Main lines, by intensity (2θ from 15° to 90°):
2θ = 29.68°, rel. 100, hkl 1 1 2; 2θ = 28.23°, rel. 88, hkl 0 2 2; 2θ = 29.28°, rel. 83, hkl 0 0 6; 2θ = 34.29°, rel. 65, hkl 1 1 4; 2θ = 33.02°, rel. 64, hkl 0 2 4; 2θ = 25.09°, rel. 48, hkl 1 0 1

Lattice parameters (Å, degrees): 3.6181 6.7385 18.2988 90.00 90.00 90.00
Space group Imm2 (No. 44)
Unique sites:
Ca  0.0000  0.0000  0.0000
Pr  0.0000  0.0000  0.5111
Pr  0.0000  0.2404  0.3372
Pr  0.0000  0.5000  0.1726
Nd  0.0000  0.5000  0.6824

---

6.
CaPrNd3: simulated powder diffraction line list (Cu Kα (λ = 1.5418 Å)), based on a crystal structure in Alexandria, relaxed with PBE.

Main lines, by intensity (2θ from 15° to 90°):
2θ = 29.26°, rel. 100, hkl 1 1 3; 2θ = 32.25°, rel. 71, hkl 1 3 2; 2θ = 32.11°, rel. 44, hkl 2 0 0; 2θ = 28.18°, rel. 38, hkl 1 3 0; 2θ = 36.77°, rel. 22, hkl 1 3 3; 2θ = 58.29°, rel. 18, hkl 2 6 0

Lattice parameters (Å, degrees): 5.5753 11.5418 11.5323 90.00 90.00 90.00
Space group Cmmm (No. 65)
Unique sites:
Ca  0.0000  0.1563  0.0000
Pr  0.0000  0.3624  0.5000
Nd  0.0000  0.1532  0.3041
Nd  0.0000  0.5000  0.1842

---

7.
Ca3Pr12Nd: simulated powder diffraction line list (Cu Kα (λ = 1.5418 Å)), based on a crystal structure in Alexandria, relaxed with PBE.

Main lines, by intensity (2θ from 15° to 90°):
2θ = 29.34°, rel. 100, hkl 1 1 4; 2θ = 34.01°, rel. 51, hkl 2 0 0; 2θ = 58.01°, rel. 43, hkl 3 1 4; 2θ = 48.86°, rel. 36, hkl 2 2 0; 2θ = 79.18°, rel. 17, hkl 3 3 4; 2θ = 81.67°, rel. 16, hkl 4 2 0

Lattice parameters (Å, degrees): 5.2744 5.2744 21.0769 90.00 90.00 90.00
Space group P4/mmm (No. 123)
Unique sites:
Ca  0.0000  0.0000  0.0000
Ca  0.0000  0.0000  0.2509
Pr  0.0000  0.5000  0.1255
Pr  0.0000  0.5000  0.3780
Pr  0.5000  0.5000  0.0000
Pr  0.5000  0.5000  0.2497
Pr  0.5000  0.5000  0.5000
Nd  0.0000  0.0000  0.5000

---

8.
Ca2Pr4Nd5: simulated powder diffraction line list (Cu Kα (λ = 1.5418 Å)), based on a crystal structure in Alexandria, relaxed with PBE.

Main lines, by intensity (2θ from 15° to 90°):
2θ = 29.39°, rel. 100, hkl 1 1 2; 2θ = 34.13°, rel. 34, hkl 4 0 -3; 2θ = 58.21°, rel. 28, hkl 3 1 -5; 2θ = 48.88°, rel. 24, hkl 4 2 -3; 2θ = 33.91°, rel. 17, hkl 0 2 0; 2θ = 57.91°, rel. 15, hkl 1 3 2

Lattice parameters (Å, degrees): 18.9350 5.2874 8.3093 90.00 105.28 90.00
Space group C2/m (No. 12)
Unique sites:
Ca  0.0457  0.0000  0.2300
Pr  0.0953  0.5000  0.9506
Pr  0.1410  0.0000  0.6880
Nd  0.0000  0.5000  0.5000
Nd  0.1839  0.5000  0.4153
Nd  0.2291  0.0000  0.1348